Record 1
For Ba2Pd3Pb2, a crystal structure in OQMD, relaxed with GGA-PBE gives the theoretical powder diffraction line list in this record (copper Kα).
No peak broadening, texture or thermal motion is included.

Largest 10 diffraction maxima, in order of falling intensity, 2θ from 10° to 80°:
- 2θ = 31.89°, I = 100
- 2θ = 37.38°, I = 98
- 2θ = 24.37°, I = 46
- 2θ = 52.48°, I = 38
- 2θ = 17.52°, I = 34
- 2θ = 49.93°, I = 29
- 2θ = 64.00°, I = 27
- 2θ = 41.56°, I = 24
- 2θ = 35.47°, I = 19
- 2θ = 67.42°, I = 18

Structure:
a = 4.8119 Å, b = 4.8119 Å, c = 30.3687 Å
α = 90.00°, β = 90.00°, γ = 120.00°
Space group R3m (No. 160, hexagonal axes)
Unique sites:
1 Ba 0.0000 0.0000 0.0000 x3
2 Ba 0.0000 0.0000 0.4935 x3
3 Pd 0.0000 0.0000 0.3921 x3
4 Pd 0.0000 0.0000 0.5965 x3
5 Pd 0.0000 0.0000 0.8936 x3
6 Pb 0.0000 0.0000 0.2463 x3
7 Pb 0.0000 0.0000 0.7479 x3


Record 2
For Co3Si2Ir, a crystal structure in OQMD, relaxed with GGA-PBE gives the theoretical powder diffraction line list in this record (copper Kα).
No peak broadening, texture or thermal motion is included.

Largest 10 diffraction maxima, in order of falling intensity, 2θ from 10° to 80°:
- 2θ = 47.88°, I = 100
- 2θ = 33.35°, I = 77
- 2θ = 28.78°, I = 28
- 2θ = 16.48°, I = 20
- 2θ = 23.42°, I = 19
- 2θ = 59.60°, I = 19
- 2θ = 79.80°, I = 15
- 2θ = 56.83°, I = 13
- 2θ = 37.43°, I = 13
- 2θ = 70.08°, I = 10

Structure:
a = 3.7977 Å, b = 3.7977 Å, c = 5.3790 Å
α = 90.00°, β = 90.00°, γ = 90.00°
Space group P-4m2 (No. 115)
Unique sites:
1 Co 0.0000 0.0000 0.0000 x1
2 Co 0.0000 0.0000 0.5000 x1
3 Co 0.5000 0.5000 0.0000 x1
4 Si 0.0000 0.5000 0.2378 x2
5 Ir 0.5000 0.5000 0.5000 x1


Record 3
For HoPS4, a crystal structure in OQMD, relaxed with GGA-PBE gives the theoretical powder diffraction line list in this record (copper Kα).
No peak broadening, texture or thermal motion is included.

Largest 10 diffraction maxima, in order of falling intensity, 2θ from 10° to 80°:
- 2θ = 16.53°, I = 100
- 2θ = 25.03°, I = 62
- 2θ = 42.20°, I = 50
- 2θ = 30.14°, I = 50
- 2θ = 38.54°, I = 41
- 2θ = 37.49°, I = 33
- 2θ = 41.55°, I = 23
- 2θ = 33.41°, I = 19
- 2θ = 57.70°, I = 17
- 2θ = 54.33°, I = 16

Structure:
a = 10.7281 Å, b = 10.7281 Å, c = 19.0177 Å
α = 90.00°, β = 90.00°, γ = 90.00°
Space group I4_1/acd (No. 142, origin choice 2)
Unique sites:
1 Ho 0.0000 0.2500 0.1250 x8
2 Ho 0.0000 0.2500 0.3750 x8
3 P 0.0382 0.0000 0.2500 x16
4 S 0.0654 0.0038 0.8401 x32
5 S 0.0865 0.1131 0.0029 x32


Record 4
For TbAl, a crystal structure in OQMD, relaxed with GGA-PBE gives the theoretical powder diffraction line list in this record (copper Kα).
No peak broadening, texture or thermal motion is included.

Largest 8 diffraction maxima, in order of falling intensity, 2θ from 10° to 80°:
- 2θ = 35.12°, I = 100
- 2θ = 24.63°, I = 61
- 2θ = 63.00°, I = 37
- 2θ = 56.98°, I = 25
- 2θ = 43.37°, I = 19
- 2θ = 50.51°, I = 18
- 2θ = 79.58°, I = 12
- 2θ = 74.22°, I = 11

Structure:
a = 3.6140 Å, b = 3.6140 Å, c = 3.6140 Å
α = 90.00°, β = 90.00°, γ = 90.00°
Space group Pm-3m (No. 221)
Unique sites:
1 Tb 0.0000 0.0000 0.0000 x1
2 Al 0.5000 0.5000 0.5000 x1


Record 5
For Ho4IBrN2, a crystal structure in OQMD, relaxed with GGA-PBE gives the theoretical powder diffraction line list in this record (copper Kα).
No peak broadening, texture or thermal motion is included.

Largest 10 diffraction maxima, in order of falling intensity, 2θ from 10° to 80°:
- 2θ = 34.45°, I = 100
- 2θ = 28.61°, I = 24
- 2θ = 50.68°, I = 24
- 2θ = 65.14°, I = 19
- 2θ = 62.73°, I = 18
- 2θ = 38.11°, I = 15
- 2θ = 48.34°, I = 14
- 2θ = 66.53°, I = 14
- 2θ = 12.50°, I = 5
- 2θ = 72.64°, I = 4

Structure:
a = 3.6026 Å, b = 3.6026 Å, c = 14.1678 Å
α = 90.00°, β = 90.00°, γ = 120.00°
Space group P-6m2 (No. 187)
Unique sites:
1 Ho 0.0000 0.0000 0.1583 x2
2 Ho 0.6667 0.3333 0.3314 x2
3 I 0.0000 0.0000 0.5000 x1
4 Br 0.6667 0.3333 0.0000 x1
5 N 0.3333 0.6667 0.2394 x2


Record 6
For La2PrNdZn12Ge6, a crystal structure in OQMD, relaxed with GGA-PBE gives the theoretical powder diffraction line list in this record (copper Kα).
No peak broadening, texture or thermal motion is included.

Largest 10 diffraction maxima, in order of falling intensity, 2θ from 10° to 80°:
- 2θ = 31.75°, I = 100
- 2θ = 41.97°, I = 53
- 2θ = 40.56°, I = 33
- 2θ = 43.80°, I = 25
- 2θ = 35.60°, I = 21
- 2θ = 68.30°, I = 21
- 2θ = 61.22°, I = 19
- 2θ = 52.41°, I = 14
- 2θ = 34.55°, I = 13
- 2θ = 49.24°, I = 13

Structure:
a = 7.7037 Å, b = 4.1336 Å, c = 13.3451 Å
α = 90.00°, β = 90.00°, γ = 90.00°
Space group Pm (No. 6)
Unique sites:
1 La 0.0000 0.0000 0.0000 x1
2 La 0.5001 0.0000 0.1678 x1
3 Pr 0.5006 0.0000 0.5013 x1
4 Nd 0.0005 0.0000 0.6668 x1
5 Zn 0.0938 0.0000 0.2400 x1
6 Zn 0.0950 0.0000 0.4289 x1
7 Zn 0.2894 0.5000 0.3350 x1
8 Zn 0.3114 0.0000 0.8330 x1
9 Zn 0.3554 0.5000 0.9780 x1
10 Zn 0.3556 0.5000 0.6890 x1
11 Zn 0.5937 0.0000 0.9280 x1
12 Zn 0.5959 0.0000 0.7394 x1
13 Zn 0.7898 0.5000 0.8330 x1
14 Zn 0.8116 0.0000 0.3346 x1
15 Zn 0.8556 0.5000 0.1898 x1
16 Zn 0.8558 0.5000 0.4791 x1
17 Ge 0.1197 0.5000 0.8328 x1
18 Ge 0.1897 0.5000 0.1444 x1
19 Ge 0.1902 0.5000 0.5251 x1
20 Ge 0.6201 0.5000 0.3346 x1
21 Ge 0.6898 0.5000 0.0235 x1
22 Ge 0.6920 0.5000 0.6435 x1


Record 7
For Tb5Zr2Cl3O10, a crystal structure in OQMD, relaxed with GGA-PBE gives the theoretical powder diffraction line list in this record (copper Kα).
No peak broadening, texture or thermal motion is included.

Largest 10 diffraction maxima, in order of falling intensity, 2θ from 10° to 80°:
- 2θ = 28.74°, I = 100
- 2θ = 32.89°, I = 80
- 2θ = 25.46°, I = 55
- 2θ = 31.99°, I = 38
- 2θ = 45.28°, I = 33
- 2θ = 48.39°, I = 23
- 2θ = 51.90°, I = 19
- 2θ = 35.32°, I = 19
- 2θ = 55.03°, I = 16
- 2θ = 57.58°, I = 16

Structure:
a = 12.0502 Å, b = 5.5957 Å, c = 9.7250 Å
α = 90.00°, β = 90.98°, γ = 90.00°
Space group C2/m (No. 12)
Unique sites:
1 Tb 0.0000 0.0000 0.0000 x2
2 Tb 0.0855 0.5000 0.7693 x4
3 Tb 0.2045 0.5000 0.0976 x4
4 Zr 0.1022 0.0000 0.3400 x4
5 Cl 0.0000 0.5000 0.5000 x2
6 Cl 0.1242 0.0000 0.6160 x4
7 O 0.0681 0.2515 0.2010 x8
8 O 0.1456 0.2506 0.9315 x8
9 O 0.2423 0.5000 0.6636 x4


Record 8
For NbReSi, a crystal structure in OQMD, relaxed with GGA-PBE gives the theoretical powder diffraction line list in this record (copper Kα).
No peak broadening, texture or thermal motion is included.

Largest 10 diffraction maxima, in order of falling intensity, 2θ from 10° to 80°:
- 2θ = 37.11°, I = 100
- 2θ = 41.04°, I = 49
- 2θ = 40.32°, I = 45
- 2θ = 26.52°, I = 35
- 2θ = 40.95°, I = 28
- 2θ = 48.91°, I = 26
- 2θ = 68.58°, I = 22
- 2θ = 29.82°, I = 20
- 2θ = 15.22°, I = 19
- 2θ = 76.38°, I = 15

Structure:
a = 6.9892 Å, b = 11.6276 Å, c = 6.7332 Å
α = 90.00°, β = 90.00°, γ = 90.00°
Space group Ima2 (No. 46)
Unique sites:
1 Nb 0.2500 0.0036 0.0000 x4
2 Nb 0.2500 0.2128 0.3776 x4
3 Nb 0.2500 0.6952 0.8819 x4
4 Re 0.0000 0.0000 0.3369 x4
5 Re 0.0349 0.6265 0.2132 x8
6 Si 0.0043 0.6679 0.5844 x8
7 Si 0.2500 0.0263 0.5996 x4


Record 9
For Tb2ErIn3PdPt2, a crystal structure in OQMD, relaxed with GGA-PBE gives the theoretical powder diffraction line list in this record (copper Kα).
No peak broadening, texture or thermal motion is included.

Largest 10 diffraction maxima, in order of falling intensity, 2θ from 10° to 80°:
- 2θ = 35.65°, I = 100
- 2θ = 32.95°, I = 92
- 2θ = 35.53°, I = 29
- 2θ = 40.47°, I = 29
- 2θ = 47.45°, I = 22
- 2θ = 64.12°, I = 22
- 2θ = 65.67°, I = 20
- 2θ = 42.87°, I = 18
- 2θ = 40.59°, I = 14
- 2θ = 60.70°, I = 12

Structure:
a = 3.8318 Å, b = 13.3342 Å, c = 7.7280 Å
α = 90.00°, β = 90.00°, γ = 90.00°
Space group Amm2 (No. 38)
Unique sites:
1 Tb 0.0000 0.2052 0.0000 x4
2 Er 0.0000 0.0000 0.3848 x2
3 In 0.5000 0.0000 0.0544 x2
4 In 0.5000 0.1291 0.6651 x4
5 Pd 0.0000 0.0000 0.7941 x2
6 Pt 0.5000 0.1653 0.2958 x4


Record 10
For Cs3SrAg2C7S7N7, a crystal structure in OQMD, relaxed with GGA-PBE gives the theoretical powder diffraction line list in this record (copper Kα).
No peak broadening, texture or thermal motion is included.

Largest 10 diffraction maxima, in order of falling intensity, 2θ from 10° to 80°:
- 2θ = 26.89°, I = 100
- 2θ = 29.08°, I = 94
- 2θ = 22.63°, I = 83
- 2θ = 21.05°, I = 73
- 2θ = 18.26°, I = 59
- 2θ = 31.10°, I = 54
- 2θ = 37.29°, I = 52
- 2θ = 22.31°, I = 40
- 2θ = 28.90°, I = 39
- 2θ = 51.25°, I = 34

Structure:
a = 11.1116 Å, b = 11.1116 Å, c = 20.0123 Å
α = 90.00°, β = 90.00°, γ = 90.00°
Space group I-42m (No. 121)
Unique sites:
1 Cs 0.0000 0.5000 0.0000 x4
2 Cs 0.2383 0.2383 0.2038 x8
3 Sr 0.0000 0.0000 0.4041 x4
4 Ag 0.1561 0.1561 0.9055 x8
5 C 0.0000 0.0000 0.2084 x4
6 C 0.0654 0.3140 0.3519 x16
7 C 0.2037 0.2037 0.5100 x8
8 S 0.0000 0.0000 0.1259 x4
9 S 0.0715 0.3430 0.8430 x16
10 S 0.1942 0.1942 0.0287 x8
11 N 0.0000 0.0000 0.2674 x4
12 N 0.0011 0.2314 0.6413 x16
13 N 0.1301 0.1301 0.4977 x8


Record 11
For Dy2Fe3B4Ir2, a crystal structure in OQMD, relaxed with GGA-PBE gives the theoretical powder diffraction line list in this record (copper Kα).
No peak broadening, texture or thermal motion is included.

Largest 10 diffraction maxima, in order of falling intensity, 2θ from 10° to 80°:
- 2θ = 39.02°, I = 100
- 2θ = 37.29°, I = 91
- 2θ = 30.65°, I = 53
- 2θ = 38.75°, I = 50
- 2θ = 46.95°, I = 47
- 2θ = 15.70°, I = 37
- 2θ = 62.45°, I = 35
- 2θ = 24.82°, I = 30
- 2θ = 41.39°, I = 28
- 2θ = 20.79°, I = 23

Structure:
a = 5.3195 Å, b = 9.2955 Å, c = 11.2864 Å
α = 90.00°, β = 90.00°, γ = 90.00°
Space group Fmmm (No. 69)
Unique sites:
1 Dy 0.0000 0.0000 0.1380 x8
2 Fe 0.0000 0.0000 0.5000 x4
3 Fe 0.2500 0.2500 0.0000 x8
4 B 0.0000 0.1557 0.3762 x16
5 Ir 0.2500 0.2500 0.2500 x8